1.
Diffraction record for Na2Zn3S4. The X-ray diffraction stick pattern is computed, not measured: it uses a crystal structure in Alexandria, relaxed with GGA-PBE and copper Kα.

Crystal structure
```
data_Na2Zn3S4
_cell_length_a 6.875
_cell_length_b 14.732
_cell_length_c 7.299
_cell_angle_alpha 90.00
_cell_angle_beta 90.00
_cell_angle_gamma 90.00
_symmetry_space_group_name_H-M 'P b c a'
_symmetry_Int_Tables_number 61
_symmetry_space_group_name_Hall '-P 2ac 2ab'
loop_
_atom_site_label
_atom_site_type_symbol
_atom_site_fract_x
_atom_site_fract_y
_atom_site_fract_z
Na1 Na 0.036 0.101 0.059
Zn1 Zn 0.000 0.000 0.500
Zn2 Zn 0.175 0.204 0.643
S1 S 0.014 0.721 0.131
S2 S 0.231 0.047 0.685
```

Top 10 peaks for 10° ≤ 2θ ≤ 90°, sorted by position:
2θ = 17.1°, I 32, hkl 0 2 1
2θ = 18.7°, I 46, hkl 1 1 1
2θ = 24.2°, I 52, hkl 0 4 0
2θ = 26.6°, I 39, hkl 2 1 0
2θ = 27.7°, I 92, hkl 1 0 2
2θ = 31.2°, I 40, hkl 2 2 1
2θ = 35.4°, I 100, hkl 1 5 1
2θ = 35.9°, I 34, hkl 2 0 2
2θ = 43.6°, I 31, hkl 1 3 3
2θ = 47.2°, I 66, hkl 3 1 2

2.
Diffraction record for Pa2HgRh3. The X-ray diffraction stick pattern is computed, not measured: it uses a crystal structure in Alexandria, relaxed with GGA-PBE and copper Kα.

Crystal structure
Lattice parameters (Å, degrees): 12.923 12.923 12.923 90.00 90.00 90.00
Space group Fd-3m (No. 227, origin choice 2)
Inequivalent atoms, fractional coordinates:
Pa  0.023  0.023  0.227 [32 per cell]
Hg  0.000  0.000  0.500 [16 per cell]
Rh  0.119  0.375  0.375 [48 per cell]

Top 10 peaks for 10° ≤ 2θ ≤ 90°, sorted by position:
2θ = 22.8°, I 21, hkl 3 1 1
2θ = 23.9°, I 14, hkl 2 2 2
2θ = 27.6°, I 12, hkl 4 0 0
2θ = 30.1°, I 37, hkl 3 3 1
2θ = 36.1°, I 15, hkl 3 3 3
2θ = 39.4°, I 100, hkl 4 4 0
2θ = 50.4°, I 15, hkl 7 1 1
2θ = 54.5°, I 17, hkl 7 3 1
2θ = 58.5°, I 16, hkl 7 3 3
2θ = 71.5°, I 21, hkl 8 4 4

3.
Diffraction record for TaSCl3. The X-ray diffraction stick pattern is computed, not measured: it uses a crystal structure in Alexandria, relaxed with GGA-PBE and copper Kα.

Crystal structure
```
data_TaSCl3
_cell_length_a 8.731
_cell_length_b 9.895
_cell_length_c 7.458
_cell_angle_alpha 90.00
_cell_angle_beta 90.00
_cell_angle_gamma 90.00
_symmetry_space_group_name_H-M 'I m a 2'
_symmetry_Int_Tables_number 46
_symmetry_space_group_name_Hall 'I 2 -2a'
loop_
_atom_site_label
_atom_site_type_symbol
_atom_site_fract_x
_atom_site_fract_y
_atom_site_fract_z
Ta1 Ta 0.250 0.227 0.000
S1 S 0.250 0.064 0.804
Cl1 Cl 0.008 0.721 0.027
Cl2 Cl 0.250 0.082 0.266
```

Top 10 peaks for 10° ≤ 2θ ≤ 90°, sorted by position:
2θ = 13.5°, I 100, hkl 1 1 0
2θ = 17.9°, I 25, hkl 0 2 0
2θ = 20.3°, I 14, hkl 2 0 0
2θ = 23.9°, I 15, hkl 0 0 2
2θ = 27.5°, I 19, hkl 1 1 2
2θ = 30.0°, I 27, hkl 0 2 2
2θ = 32.1°, I 14, hkl 3 1 0
2θ = 37.8°, I 19, hkl 1 3 2
2θ = 48.3°, I 13, hkl 3 3 2
2θ = 51.9°, I 11, hkl 4 2 2